1.
For Rb2CrHg2Cl4, a structure optimized by DFT (GGA-PBE) gives the simulated PXRD pattern in this record (Cu Kα (weighted mean of Kα1 and Kα2)).
Peak positions follow from Bragg's law for the DFT cell and can differ from measured ones.

Largest 6 diffraction maxima, in order of rising 2θ, 10° ≤ 2θ ≤ 90°:
2theta	I (rel.)
16.00	74.6
22.71	100.0
30.16	95.0
31.74	84.6
32.33	96.1
39.38	73.0

Structure:
Cell: 7.1564 7.1564 7.1564 Å, 113.65 113.65 101.41°
Fractional positions:
Rb  0.2500  0.7500  0.5000
Rb  0.7500  0.2500  0.5000
Cr  0.0000  0.0000  0.0000
Hg  0.3268  0.3268  0.0000
Hg  0.6732  0.6732  0.0000
Cl  0.2148  0.2148  0.4295
Cl  0.2148  0.7852  0.0000
Cl  0.7852  0.2148  0.0000
Cl  0.7852  0.7852  0.5705

***

2.
For HoCrCl5, a structure optimized by DFT (GGA-PBE) gives the simulated PXRD pattern in this record (Cu Kα (weighted mean of Kα1 and Kα2)).
Peak positions follow from Bragg's law for the DFT cell and can differ from measured ones.

Largest 6 diffraction maxima, in order of rising 2θ, 10° ≤ 2θ ≤ 90°:
2theta	I (rel.)
13.17	59.7
18.24	100.0
19.09	50.0
23.33	80.3
31.24	36.9
36.95	35.1

Structure:
Cell: 6.9447 6.9447 8.3883 Å, 104.33 104.33 84.03°
Fractional positions:
Ho  0.0572  0.9428  0.7500
Ho  0.9428  0.0572  0.2500
Cr  0.5000  0.5000  0.0000
Cr  0.5000  0.5000  0.5000
Cl  0.1375  0.8054  0.0396
Cl  0.1946  0.8625  0.4604
Cl  0.2000  0.3397  0.3605
Cl  0.3397  0.2000  0.8605
Cl  0.3765  0.6235  0.7500
Cl  0.6235  0.3765  0.2500
Cl  0.6603  0.8000  0.1395
Cl  0.8000  0.6603  0.6395
Cl  0.8054  0.1375  0.5396
Cl  0.8625  0.1946  0.9604

***

Repeat the second record exactly.
For HoCrCl5, a structure optimized by DFT (GGA-PBE) gives the simulated PXRD pattern in this record (Cu Kα (weighted mean of Kα1 and Kα2)).
Peak positions follow from Bragg's law for the DFT cell and can differ from measured ones.

Largest 6 diffraction maxima, in order of rising 2θ, 10° ≤ 2θ ≤ 90°:
2theta	I (rel.)
13.17	59.7
18.24	100.0
19.09	50.0
23.33	80.3
31.24	36.9
36.95	35.1

Structure:
Cell: 6.9447 6.9447 8.3883 Å, 104.33 104.33 84.03°
Fractional positions:
Ho  0.0572  0.9428  0.7500
Ho  0.9428  0.0572  0.2500
Cr  0.5000  0.5000  0.0000
Cr  0.5000  0.5000  0.5000
Cl  0.1375  0.8054  0.0396
Cl  0.1946  0.8625  0.4604
Cl  0.2000  0.3397  0.3605
Cl  0.3397  0.2000  0.8605
Cl  0.3765  0.6235  0.7500
Cl  0.6235  0.3765  0.2500
Cl  0.6603  0.8000  0.1395
Cl  0.8000  0.6603  0.6395
Cl  0.8054  0.1375  0.5396
Cl  0.8625  0.1946  0.9604